Simulated powder diffraction line list of CeZr for Cu Kα X-rays, from the PBE geometry in Alexandria.

Atomic structure:
Cell: 3.234 4.761 6.503 Å, 90.00 90.00 90.00°
Fractional coordinates of all 4 atoms:
Ce: 0.250 0.250 0.121
Ce: 0.750 0.750 0.879
Zr: 0.250 0.250 0.607
Zr: 0.750 0.750 0.393

Peak list (6 most intense, 2θ = 10–90°, in order of falling intensity)
(1 1 0), 2θ 33.50, rel. 100.0
(0 1 2), 2θ 33.37, rel. 98.8
(1 0 2), 2θ 39.29, rel. 62.9
(1 2 2), 2θ 55.66, rel. 45.0
(0 2 0), 2θ 37.79, rel. 35.9
(1 3 0), 2θ 65.49, rel. 27.6

Simulated powder diffraction line list of CeZr for Cu Kα X-rays, from the PBE geometry in Alexandria.

Atomic structure:
Cell: 5.613 3.236 10.982 Å, 90.00 90.02 90.00°
Fractional coordinates of all 8 atoms:
Ce: 0.166 0.000 0.129
Ce: 0.334 0.500 0.871
Ce: 0.666 0.500 0.129
Ce: 0.834 0.000 0.871
Zr: 0.165 0.000 0.617
Zr: 0.335 0.500 0.383
Zr: 0.665 0.500 0.617
Zr: 0.835 0.000 0.383

Peak list (6 most intense, 2θ = 10–90°, in order of falling intensity)
(2 0 2), 2θ 35.96, rel. 100.0
(0 0 4), 2θ 32.61, rel. 28.5
(1 1 0), 2θ 31.91, rel. 23.2
(2 0 6), 2θ 60.39, rel. 20.7
(3 1 -4), 2θ 67.11, rel. 20.6
(3 1 0), 2θ 56.86, rel. 17.5